For Li4Fe5CoO12, a DFT-relaxed cell (GGA+U, Alexandria) gives the simulated powder X-ray diffraction pattern in this record (Cu Kα X-rays).
No peak broadening, texture or thermal motion is included.

Cell and atoms:
```
data_Li4Fe5CoO12
_chemical_formula_sum 'Li8 Fe10 Co2 O24'
_space_group_name_H-M_alt 'C 1 2/m 1'
_space_group_IT_number 12
_cell_length_a 5.136
_cell_length_b 8.826
_cell_length_c 10.424
_cell_angle_alpha 90.00
_cell_angle_beta 97.31
_cell_angle_gamma 90.00
loop_
_space_group_symop_operation_xyz
'x,y,z'
'-x,-y,-z'
'-x,y,-z'
'x,-y,z'
'x+1/2,y+1/2,z'
'-x+1/2,-y+1/2,-z'
'-x+1/2,y+1/2,-z'
'x+1/2,-y+1/2,z'
loop_
_atom_site_label
_atom_site_type_symbol
_atom_site_fract_x
_atom_site_fract_y
_atom_site_fract_z
Li1 Li 0.211 0.166 0.218
Fe1 Fe 0.000 0.164 0.500
Fe2 Fe 0.000 0.336 0.000
Fe3 Fe 0.000 0.500 0.500
Co1 Co 0.000 0.000 0.000
O1 O 0.135 0.169 0.893
O2 O 0.165 0.500 0.896
O3 O 0.167 0.000 0.597
O4 O 0.189 0.331 0.595
```

Principal peaks in the range 10 to 90 degrees two-theta, sorted by position:
- hkl 0 0 2, 2θ 17.15, rel. 100
- hkl 1 3 -1, 2θ 35.76, rel. 12
- hkl 1 3 1, 2θ 36.87, rel. 15
- hkl 2 0 -2, 2θ 37.32, rel. 9
- hkl 2 0 2, 2θ 41.47, rel. 8
- hkl 1 3 -3, 2θ 42.78, rel. 17
- hkl 1 3 3, 2θ 45.61, rel. 14
- hkl 1 3 -5, 2θ 55.42, rel. 8
- hkl 1 3 5, 2θ 59.33, rel. 9
- hkl 3 3 -1, 2θ 62.83, rel. 9